# 1
GaPbBr3: theoretical XRD peak list (λ = 1.5418 Å (Cu Kα)), based on a cell relaxed with PBE.
Kinematic intensities with the Lorentz-polarization factor, no thermal factor.

Structure:
a = 4.4666 Å, b = 21.4163 Å, c = 7.8331 Å
α = 90.00°, β = 90.00°, γ = 90.00°
Space group Cmc2_1 (No. 36)
Inequivalent atoms, fractional coordinates:
Ga1 0.0000 0.1485 0.0000 [4 per cell]
Pb1 0.0000 0.3423 0.9820 [4 per cell]
Br1 0.0000 0.0847 0.6368 [4 per cell]
Br2 0.0000 0.2467 0.3193 [4 per cell]
Br3 0.0000 0.4173 0.6745 [4 per cell]

Main lines, low angle first (2θ = 15–90°):
2θ/deg  I_rel  hkl
16.56  37  0 4 0
23.30  36  1 1 1
26.14  59  1 3 1
28.23  31  0 4 2
31.10  100  1 5 1
33.98  46  0 6 2
40.23  61  1 1 3
40.39  27  2 0 0
44.67  26  1 9 1
53.78  25  2 6 2

***

# 2
PmGa3Br6: theoretical XRD peak list (λ = 1.5418 Å (Cu Kα)), based on a cell relaxed with PBE.
Kinematic intensities with the Lorentz-polarization factor, no thermal factor.

Structure:
a = 7.5013 Å, b = 8.4322 Å, c = 13.1008 Å
α = 90.00°, β = 122.40°, γ = 90.00°
Space group P2_1/c (No. 14)
Inequivalent atoms, fractional coordinates:
Pm1 0.0000 0.0000 0.0000 [2 per cell]
Ga1 0.3125 0.0937 0.7967 [4 per cell]
Ga2 0.5000 0.0000 0.5000 [2 per cell]
Br1 0.0942 0.0690 0.2401 [4 per cell]
Br2 0.2620 0.7195 0.0894 [4 per cell]
Br3 0.3688 0.1702 0.0433 [4 per cell]

Main lines, low angle first (2θ = 15–90°):
2θ/deg  I_rel  hkl
26.02  84  2 1 -2
26.95  63  2 1 -1
27.42  92  1 0 -4
28.88  71  1 2 1
29.43  76  1 1 -4
31.95  80  2 2 -2
34.07  100  1 3 -1
35.45  58  2 2 0
40.41  96  3 1 -1
41.71  76  3 1 -5

***

# 3
Pm8Ga3TcBr4: theoretical XRD peak list (λ = 1.5418 Å (Cu Kα)), based on a cell relaxed with PBE.
Kinematic intensities with the Lorentz-polarization factor, no thermal factor.

Structure:
a = 14.6643 Å, b = 8.4891 Å, c = 8.8898 Å
α = 90.00°, β = 123.32°, γ = 90.00°
Space group C2/m (No. 12)
Inequivalent atoms, fractional coordinates:
Pm1 0.0086 0.2354 0.2908 [8 per cell]
Pm2 0.2269 0.0000 0.7091 [4 per cell]
Pm3 0.2435 0.5000 0.7301 [4 per cell]
Ga1 0.0000 0.5000 0.5000 [2 per cell]
Ga2 0.2500 0.2500 0.5000 [4 per cell]
Tc1 0.0000 0.0000 0.5000 [2 per cell]
Br1 0.0000 0.0000 0.0000 [2 per cell]
Br2 0.0000 0.5000 0.0000 [2 per cell]
Br3 0.2500 0.2500 0.0000 [4 per cell]

Main lines, low angle first (2θ = 15–90°):
2θ/deg  I_rel  hkl
25.55  11  2 2 0
29.13  100  4 0 0
40.66  33  2 2 2
42.66  36  0 4 0
52.45  13  4 4 0
52.57  6  8 0 -4
60.39  10  8 0 0
67.00  11  6 2 2
69.91  10  10 2 -2
76.69  6  8 4 0

***

> Number 3 is which compound?

Pm8Ga3TcBr4

***

Repeat the third record exactly.
Pm8Ga3TcBr4: theoretical XRD peak list (λ = 1.5418 Å (Cu Kα)), based on a cell relaxed with PBE.
Kinematic intensities with the Lorentz-polarization factor, no thermal factor.

Structure:
a = 14.6643 Å, b = 8.4891 Å, c = 8.8898 Å
α = 90.00°, β = 123.32°, γ = 90.00°
Space group C2/m (No. 12)
Inequivalent atoms, fractional coordinates:
Pm1 0.0086 0.2354 0.2908 [8 per cell]
Pm2 0.2269 0.0000 0.7091 [4 per cell]
Pm3 0.2435 0.5000 0.7301 [4 per cell]
Ga1 0.0000 0.5000 0.5000 [2 per cell]
Ga2 0.2500 0.2500 0.5000 [4 per cell]
Tc1 0.0000 0.0000 0.5000 [2 per cell]
Br1 0.0000 0.0000 0.0000 [2 per cell]
Br2 0.0000 0.5000 0.0000 [2 per cell]
Br3 0.2500 0.2500 0.0000 [4 per cell]

Main lines, low angle first (2θ = 15–90°):
2θ/deg  I_rel  hkl
25.55  11  2 2 0
29.13  100  4 0 0
40.66  33  2 2 2
42.66  36  0 4 0
52.45  13  4 4 0
52.57  6  8 0 -4
60.39  10  8 0 0
67.00  11  6 2 2
69.91  10  10 2 -2
76.69  6  8 4 0